Theoretical powder diffraction line list
Compound: NaTmInIr
Radiation: CuKα
Structure: a cell relaxed with GGA-PBE

```
data_NaTmInIr
_cell_length_a 6.860
_cell_length_b 6.860
_cell_length_c 6.860
_cell_angle_alpha 90.00
_cell_angle_beta 90.00
_cell_angle_gamma 90.00
_space_group_name_H-M_alt 'F -4 3 m'
_space_group_IT_number 216
_space_group_name_Hall 'F -4 2 3'
loop_
_atom_site_label
_atom_site_type_symbol
_atom_site_fract_x
_atom_site_fract_y
_atom_site_fract_z
Na1 Na 0.000 0.000 0.000
Tm1 Tm 0.250 0.250 0.750
In1 In 0.250 0.250 0.250
Ir1 Ir 0.000 0.000 0.500
```

Top 10 peaks for 2θ from 10° to 90°, in order of falling intensity:
2θ 37.06, 2.426 Å, rel. 100, (2 2 0)
2θ 66.80, 1.400 Å, rel. 35, (4 2 2)
2θ 22.45, 3.961 Å, rel. 28, (1 1 1)
2θ 53.42, 1.715 Å, rel. 17, (4 0 0)
2θ 43.76, 2.068 Å, rel. 15, (3 1 1)
2θ 78.94, 1.213 Å, rel. 11, (4 4 0)
2θ 58.66, 1.574 Å, rel. 7, (3 3 1)
2θ 83.33, 1.160 Å, rel. 5, (5 3 1)
2θ 71.45, 1.320 Å, rel. 5, (5 1 1)
2θ 25.98, 3.430 Å, rel. 3, (2 0 0)